The following is a simulated powder X-ray diffraction pattern of RbMg14CO16. It was derived from a cell relaxed with GGA-PBE, using Cu Ka.

Main lines, by angle (2θ = 10–90°):
two_theta	d (Å)	I_rel
10.10	8.756	17.6
22.71	3.916	8.6
23.09	3.851	9.1
30.63	2.919	8.0
30.92	2.892	11.0
35.77	2.510	23.5
41.24	2.189	100.0
42.14	2.144	48.6
59.74	1.548	27.7
60.43	1.532	55.3
71.62	1.318	10.2
75.79	1.255	24.6

Atomic structure:
Unit cell a=8.7565 b=8.7565 c=4.2884 alpha=90.00 beta=90.00 gamma=90.00
Space group P4/mmm (No. 123)
Symmetry-distinct sites (fractional):
Rb 0.0000 0.0000 0.0000 [1 per cell]
Mg 0.0000 0.2641 0.5000 [4 per cell]
Mg 0.0000 0.5000 0.0000 [2 per cell]
Mg 0.2551 0.2551 0.0000 [4 per cell]
Mg 0.2551 0.5000 0.5000 [4 per cell]
C 0.5000 0.5000 0.0000 [1 per cell]
O 0.0000 0.0000 0.5000 [1 per cell]
O 0.0000 0.2799 0.0000 [4 per cell]
O 0.0000 0.5000 0.5000 [2 per cell]
O 0.2505 0.2505 0.5000 [4 per cell]
O 0.2605 0.5000 0.0000 [4 per cell]
O 0.5000 0.5000 0.5000 [1 per cell]


The following is a simulated powder X-ray diffraction pattern of Mg14SiCO16. It was derived from a cell relaxed with GGA-PBE, using Cu Ka.

Main lines, by angle (2θ = 10–90°):
two_theta	d (Å)	I_rel
10.39	8.513	1.2
23.14	3.843	1.0
31.36	2.852	2.0
36.42	2.467	13.5
41.95	2.153	52.7
42.48	2.128	100.0
61.23	1.514	57.1
61.63	1.505	27.6
62.60	1.484	1.6
73.02	1.296	3.4
73.75	1.285	6.3
77.36	1.234	25.3

Atomic structure:
Unit cell a=8.5129 b=8.5129 c=4.3068 alpha=90.00 beta=90.00 gamma=90.00
Space group P4/mmm (No. 123)
Symmetry-distinct sites (fractional):
Mg 0.0000 0.2416 0.0000 [4 per cell]
Mg 0.0000 0.5000 0.5000 [2 per cell]
Mg 0.2433 0.2433 0.5000 [4 per cell]
Mg 0.2453 0.5000 0.0000 [4 per cell]
Si 0.5000 0.5000 0.5000 [1 per cell]
C 0.0000 0.0000 0.5000 [1 per cell]
O 0.0000 0.0000 0.0000 [1 per cell]
O 0.0000 0.2593 0.5000 [4 per cell]
O 0.0000 0.5000 0.0000 [2 per cell]
O 0.2503 0.2503 0.0000 [4 per cell]
O 0.2547 0.5000 0.5000 [4 per cell]
O 0.5000 0.5000 0.0000 [1 per cell]


The following is a simulated powder X-ray diffraction pattern of Mg14SiCO16. It was derived from a cell relaxed with GGA-PBE, using Cu Ka.

Main lines, by angle (2θ = 10–90°):
two_theta	d (Å)	I_rel
14.60	6.068	4.0
25.81	3.451	3.4
36.55	2.459	15.9
41.18	2.192	51.9
43.08	2.100	100.0
61.12	1.516	53.6
62.56	1.485	27.4
72.03	1.311	4.8
74.63	1.272	3.8
74.74	1.270	3.6
77.68	1.229	23.3
89.41	1.096	3.3

Atomic structure:
Unit cell a=4.1961 b=8.4060 c=8.7675 alpha=90.00 beta=90.00 gamma=90.00
Space group Pmmm (No. 47)
Symmetry-distinct sites (fractional):
Mg 0.0000 0.0000 0.0000 [1 per cell]
Mg 0.0000 0.0000 0.5000 [1 per cell]
Mg 0.0000 0.2584 0.2374 [4 per cell]
Mg 0.5000 0.0000 0.2466 [2 per cell]
Mg 0.5000 0.2517 0.5000 [2 per cell]
Mg 0.5000 0.2552 0.0000 [2 per cell]
Mg 0.5000 0.5000 0.2345 [2 per cell]
Si 0.0000 0.5000 0.5000 [1 per cell]
C 0.0000 0.5000 0.0000 [1 per cell]
O 0.0000 0.0000 0.2583 [2 per cell]
O 0.0000 0.2359 0.0000 [2 per cell]
O 0.0000 0.2719 0.5000 [2 per cell]
O 0.0000 0.5000 0.3095 [2 per cell]
O 0.5000 0.0000 0.0000 [1 per cell]
O 0.5000 0.0000 0.5000 [1 per cell]
O 0.5000 0.2533 0.2495 [4 per cell]
O 0.5000 0.5000 0.0000 [1 per cell]
O 0.5000 0.5000 0.5000 [1 per cell]


The following is a simulated powder X-ray diffraction pattern of Mg14SnCO16. It was derived from a cell relaxed with GGA-PBE, using Cu Ka.

Main lines, by angle (2θ = 10–90°):
two_theta	d (Å)	I_rel
10.25	8.632	44.7
14.51	6.103	11.8
22.87	3.888	20.8
23.04	3.860	20.3
30.96	2.889	25.5
35.93	2.499	29.0
41.47	2.178	52.9
41.86	2.158	100.0
60.39	1.533	58.9
60.69	1.526	28.2
72.59	1.302	10.8
76.18	1.250	26.4

Atomic structure:
Unit cell a=8.6315 b=8.6315 c=4.3551 alpha=90.00 beta=90.00 gamma=90.00
Space group P4/mmm (No. 123)
Symmetry-distinct sites (fractional):
Mg 0.0000 0.2410 0.0000 [4 per cell]
Mg 0.0000 0.5000 0.5000 [2 per cell]
Mg 0.2372 0.5000 0.0000 [4 per cell]
Mg 0.2398 0.2398 0.5000 [4 per cell]
Sn 0.5000 0.5000 0.5000 [1 per cell]
C 0.0000 0.0000 0.5000 [1 per cell]
O 0.0000 0.0000 0.0000 [1 per cell]
O 0.0000 0.2566 0.5000 [4 per cell]
O 0.0000 0.5000 0.0000 [2 per cell]
O 0.2369 0.5000 0.5000 [4 per cell]
O 0.2504 0.2504 0.0000 [4 per cell]
O 0.5000 0.5000 0.0000 [1 per cell]


The following is a simulated powder X-ray diffraction pattern of Mg6SnCO8. It was derived from a cell relaxed with GGA-PBE, using Cu Ka.

Main lines, by angle (2θ = 10–90°):
two_theta	d (Å)	I_rel
20.84	4.262	23.9
22.93	3.878	80.6
28.34	3.150	23.8
31.18	2.868	48.4
35.44	2.533	43.5
38.52	2.337	56.9
42.42	2.131	100.0
48.76	1.868	23.5
58.62	1.575	58.4
61.54	1.507	29.3
70.57	1.335	23.4
74.99	1.267	26.0

Atomic structure:
Unit cell a=4.2622 b=4.2622 c=9.3494 alpha=90.00 beta=90.00 gamma=90.00
Space group P4/mmm (No. 123)
Symmetry-distinct sites (fractional):
Mg 0.0000 0.0000 0.0000 [1 per cell]
Mg 0.0000 0.0000 0.5000 [1 per cell]
Mg 0.0000 0.5000 0.2210 [4 per cell]
Sn 0.5000 0.5000 0.5000 [1 per cell]
C 0.5000 0.5000 0.0000 [1 per cell]
O 0.0000 0.0000 0.2406 [2 per cell]
O 0.0000 0.5000 0.0000 [2 per cell]
O 0.0000 0.5000 0.5000 [2 per cell]
O 0.5000 0.5000 0.2759 [2 per cell]


The following is a simulated powder X-ray diffraction pattern of Mg14SnCO16. It was derived from a cell relaxed with GGA-PBE, using Cu Ka.

Main lines, by angle (2θ = 10–90°):
two_theta	d (Å)	I_rel
10.05	8.799	24.4
10.31	8.581	13.7
14.42	6.143	26.2
23.08	3.854	22.0
25.35	3.514	20.6
31.21	2.865	15.5
35.98	2.496	29.1
41.03	2.200	53.1
42.15	2.144	100.0
60.28	1.535	58.7
61.14	1.516	28.7
76.29	1.248	27.0

Atomic structure:
Unit cell a=4.2843 b=8.5807 c=8.7991 alpha=90.00 beta=90.00 gamma=90.00
Space group Pmmm (No. 47)
Symmetry-distinct sites (fractional):
Mg 0.0000 0.0000 0.0000 [1 per cell]
Mg 0.0000 0.0000 0.5000 [1 per cell]
Mg 0.0000 0.2492 0.2390 [4 per cell]
Mg 0.5000 0.0000 0.2452 [2 per cell]
Mg 0.5000 0.2401 0.5000 [2 per cell]
Mg 0.5000 0.2543 0.0000 [2 per cell]
Mg 0.5000 0.5000 0.2309 [2 per cell]
Sn 0.0000 0.5000 0.5000 [1 per cell]
C 0.0000 0.5000 0.0000 [1 per cell]
O 0.0000 0.0000 0.2487 [2 per cell]
O 0.0000 0.2378 0.5000 [2 per cell]
O 0.0000 0.2395 0.0000 [2 per cell]
O 0.0000 0.5000 0.2613 [2 per cell]
O 0.5000 0.0000 0.0000 [1 per cell]
O 0.5000 0.0000 0.5000 [1 per cell]
O 0.5000 0.2511 0.2493 [4 per cell]
O 0.5000 0.5000 0.0000 [1 per cell]
O 0.5000 0.5000 0.5000 [1 per cell]